Structure and theoretical X-ray powder pattern of Zr2Pd7Pt3 (a cell relaxed with PBE; a wavelength of 1.5418 Å).

Structural model:
a b c (Å): 4.918 5.667 7.567
angles (deg): 98.83 95.91 107.73
Atoms (fractional coordinates):
Zr 0.006 0.195 0.180
Zr 0.994 0.805 0.820
Pd 0.000 0.000 0.500
Pd 0.496 0.413 0.667
Pd 0.497 0.913 0.667
Pd 0.499 0.749 0.002
Pd 0.501 0.251 0.998
Pd 0.503 0.087 0.333
Pd 0.504 0.587 0.333
Pt 0.000 0.500 0.500
Pt 0.007 0.693 0.169
Pt 0.993 0.307 0.831

The 10 most intense peaks (5 to 70 degrees two-theta), low angle first:
2θ/deg  Rel. int.
38.30  97
38.61  100
38.95  98
39.09  95
44.36  67
44.66  65
46.06  59
63.99  22
65.55  40
66.20  40

Structure and theoretical X-ray powder pattern of ZrPd3Pt6 (a cell relaxed with PBE; a wavelength of 1.5418 Å).

Structural model:
a b c (Å): 8.933 3.937 9.864
angles (deg): 90.00 103.20 90.00
Atoms (fractional coordinates):
Zr 0.200 0.250 0.197
Zr 0.800 0.750 0.803
Pd 0.072 0.750 0.726
Pd 0.297 0.250 0.813
Pd 0.335 0.750 0.623
Pd 0.665 0.250 0.377
Pd 0.703 0.750 0.187
Pd 0.928 0.250 0.274
Pt 0.026 0.250 0.906
Pt 0.109 0.250 0.532
Pt 0.250 0.750 0.008
Pt 0.383 0.250 0.454
Pt 0.425 0.750 0.275
Pt 0.478 0.250 0.093
Pt 0.522 0.750 0.907
Pt 0.575 0.250 0.725
Pt 0.617 0.750 0.546
Pt 0.750 0.250 0.992
Pt 0.891 0.750 0.468
Pt 0.974 0.750 0.094

The 10 most intense peaks (5 to 70 degrees two-theta), low angle first:
2θ/deg  Rel. int.
20.41  9
39.45  100
39.70  99
44.79  36
46.11  33
47.16  29
66.23  22
66.72  10
67.41  11
68.08  20

Structure and theoretical X-ray powder pattern of ZrPd6Pt23 (a cell relaxed with PBE; a wavelength of 1.5418 Å).

Structural model:
a b c (Å): 9.614 9.614 9.614
angles (deg): 131.48 131.48 71.05
Atoms (fractional coordinates):
Zr 0.000 0.000 0.000
Pd 0.249 0.249 0.498
Pd 0.249 0.751 0.000
Pd 0.250 0.250 0.000
Pd 0.750 0.750 0.000
Pd 0.751 0.249 0.000
Pd 0.751 0.751 0.502
Pt 0.000 0.000 0.500
Pt 0.000 0.500 0.000
Pt 0.000 0.500 0.500
Pt 0.120 0.372 0.748
Pt 0.127 0.871 0.256
Pt 0.129 0.385 0.256
Pt 0.129 0.873 0.744
Pt 0.372 0.120 0.748
Pt 0.372 0.625 0.252
Pt 0.375 0.628 0.748
Pt 0.385 0.129 0.256
Pt 0.500 0.000 0.000
Pt 0.500 0.000 0.500
Pt 0.500 0.500 0.000
Pt 0.500 0.500 0.500
Pt 0.615 0.871 0.744
Pt 0.625 0.372 0.252
Pt 0.628 0.375 0.748
Pt 0.628 0.880 0.252
Pt 0.871 0.127 0.256
Pt 0.871 0.615 0.744
Pt 0.873 0.129 0.744
Pt 0.880 0.628 0.252

The 10 most intense peaks (5 to 70 degrees two-theta), low angle first:
2θ/deg  Rel. int.
19.52  2
22.73  4
25.26  7
32.04  3
39.65  100
41.49  2
45.95  33
46.42  16
67.01  11
67.38  21